No. 1
This entry pairs a crystal structure of LaPmZn3 with its theoretical X-ray diffraction stick pattern. Radiation: λ = 1.5418 Å (Cu Kα). Structure: a crystal structure in Alexandria, relaxed with GGA-PBE.

Main lines, low angle first (2θ from 10° to 90°):
- 2θ 23.00, d = 3.866 Å, rel. 22, (0 4 1)
- 2θ 32.61, d = 2.746 Å, rel. 100, (1 3 1)
- 2θ 33.24, d = 2.695 Å, rel. 59, (1 7 0)
- 2θ 37.61, d = 2.391 Å, rel. 54, (0 10 1)
- 2θ 38.76, d = 2.323 Å, rel. 36, (0 0 2)
- 2θ 49.84, d = 1.830 Å, rel. 19, (2 0 0)
- 2θ 51.97, d = 1.760 Å, rel. 33, (1 7 2)
- 2θ 64.09, d = 1.453 Å, rel. 22, (2 10 1)
- 2θ 64.88, d = 1.437 Å, rel. 15, (2 0 2)
- 2θ 66.31, d = 1.410 Å, rel. 12, (1 3 3)

```
data_LaPmZn3
_cell_length_a 3.6588
_cell_length_b 27.8927
_cell_length_c 4.6459
_cell_angle_alpha 90.00
_cell_angle_beta 90.00
_cell_angle_gamma 90.00
_space_group_name_H-M_alt 'C m c m'
_space_group_IT_number 63
_space_group_name_Hall '-C 2c 2'
loop_
_atom_site_label
_atom_site_type_symbol
_atom_site_fract_x
_atom_site_fract_y
_atom_site_fract_z
La1 La 0.0000 0.0726 0.2500
Pm1 Pm 0.0000 0.2084 0.7500
Zn1 Zn 0.0000 0.3276 0.7500
Zn2 Zn 0.0000 0.3807 0.2500
Zn3 Zn 0.0000 0.4765 0.2500
```

---

No. 2
This entry pairs a crystal structure of Mg2MnCu with its theoretical X-ray diffraction stick pattern. Radiation: λ = 1.5418 Å (Cu Kα). Structure: a crystal structure in Alexandria, relaxed with GGA-PBE.

Main lines, low angle first (2θ from 10° to 90°):
- 2θ 27.79, d = 3.210 Å, rel. 24, (0 0 2)
- 2θ 28.12, d = 3.173 Å, rel. 12, (1 0 0)
- 2θ 39.71, d = 2.270 Å, rel. 51, (0 1 2)
- 2θ 39.95, d = 2.257 Å, rel. 100, (1 1 0)
- 2θ 49.36, d = 1.846 Å, rel. 9, (1 1 2)
- 2θ 57.34, d = 1.607 Å, rel. 8, (0 0 4)
- 2θ 57.48, d = 1.603 Å, rel. 8, (0 2 0)
- 2θ 58.14, d = 1.587 Å, rel. 8, (2 0 0)
- 2θ 72.23, d = 1.308 Å, rel. 30, (1 2 2)
- 2θ 72.71, d = 1.300 Å, rel. 15, (2 1 2)

```
data_Mg2MnCu
_cell_length_a 3.1734
_cell_length_b 3.2066
_cell_length_c 6.4276
_cell_angle_alpha 90.00
_cell_angle_beta 90.00
_cell_angle_gamma 90.00
_space_group_name_H-M_alt 'P m m m'
_space_group_IT_number 47
loop_
_space_group_symop_operation_xyz
'x,y,z'
'-x,-y,-z'
'-x,-y,z'
'x,y,-z'
'x,-y,-z'
'-x,y,z'
'-x,y,-z'
'x,-y,z'
loop_
_atom_site_label
_atom_site_type_symbol
_atom_site_fract_x
_atom_site_fract_y
_atom_site_fract_z
Mg1 Mg 0.0000 0.0000 0.2400
Mn1 Mn 0.5000 0.5000 0.5000
Cu1 Cu 0.5000 0.5000 0.0000
```

---

No. 3
This entry pairs a crystal structure of TlCd12In4 with its theoretical X-ray diffraction stick pattern. Radiation: λ = 1.5418 Å (Cu Kα). Structure: a crystal structure in Alexandria, relaxed with GGA-PBE.

Main lines, low angle first (2θ from 10° to 90°):
- 2θ 28.84, d = 3.095 Å, rel. 36, (0 2 2)
- 2θ 30.89, d = 2.895 Å, rel. 34, (2 0 2)
- 2θ 31.89, d = 2.806 Å, rel. 43, (1 -2 0)
- 2θ 32.03, d = 2.794 Å, rel. 100, (2 2 0)
- 2θ 32.46, d = 2.758 Å, rel. 78, (1 0 3)
- 2θ 34.67, d = 2.587 Å, rel. 32, (2 1 3)
- 2θ 37.49, d = 2.399 Å, rel. 54, (2 0 -2)
- 2θ 37.76, d = 2.382 Å, rel. 35, (0 2 -2)
- 2θ 37.84, d = 2.378 Å, rel. 55, (-1 1 3)
- 2θ 43.56, d = 2.078 Å, rel. 30, (2 2 4)

```
data_TlCd12In4
_cell_length_a 7.2074
_cell_length_b 7.6024
_cell_length_c 8.9868
_cell_angle_alpha 71.00
_cell_angle_beta 74.02
_cell_angle_gamma 71.24
_space_group_name_H-M_alt 'P -1'
_space_group_IT_number 2
loop_
_space_group_symop_operation_xyz
'x,y,z'
'-x,-y,-z'
loop_
_atom_site_label
_atom_site_type_symbol
_atom_site_fract_x
_atom_site_fract_y
_atom_site_fract_z
Tl1 Tl 0.0000 0.0000 0.0000
Cd1 Cd 0.0388 0.0531 0.6354
Cd2 Cd 0.2113 0.2327 0.2622
Cd3 Cd 0.2898 0.2586 0.7325
Cd4 Cd 0.3181 0.6618 0.5720
Cd5 Cd 0.3272 0.6494 0.2324
Cd6 Cd 0.3807 0.6895 0.8802
In1 In 0.0000 0.5000 0.0000
In2 In 0.0000 0.5000 0.5000
In3 In 0.5000 0.0000 0.0000
In4 In 0.5000 0.0000 0.5000
```

---

No. 4
This entry pairs a crystal structure of LaPm3Th3 with its theoretical X-ray diffraction stick pattern. Radiation: λ = 1.5418 Å (Cu Kα). Structure: a crystal structure in Alexandria, relaxed with GGA-PBE.

Main lines, low angle first (2θ from 10° to 90°):
- 2θ 28.37, d = 3.146 Å, rel. 23, (2 1 0)
- 2θ 29.92, d = 2.986 Å, rel. 27, (0 0 2)
- 2θ 32.16, d = 2.784 Å, rel. 100, (2 1 1)
- 2θ 41.70, d = 2.166 Å, rel. 17, (2 1 2)
- 2θ 50.22, d = 1.817 Å, rel. 19, (1 4 0)
- 2θ 54.55, d = 1.682 Å, rel. 23, (2 1 3)
- 2θ 59.57, d = 1.552 Å, rel. 23, (1 4 2)
- 2θ 60.90, d = 1.521 Å, rel. 16, (4 2 1)
- 2θ 82.75, d = 1.166 Å, rel. 13, (7 0 1)
- 2θ 83.88, d = 1.153 Å, rel. 9, (1 4 4)

```
data_LaPm3Th3
_cell_length_a 9.6121
_cell_length_b 9.6121
_cell_length_c 5.9720
_cell_angle_alpha 90.00
_cell_angle_beta 90.00
_cell_angle_gamma 120.00
_space_group_name_H-M_alt 'P 63/m'
_space_group_IT_number 176
_space_group_name_Hall '-P 6c'
loop_
_atom_site_label
_atom_site_type_symbol
_atom_site_fract_x
_atom_site_fract_y
_atom_site_fract_z
La1 La 0.3333 0.6667 0.2500
Pm1 Pm 0.0438 0.2425 0.2500
Th1 Th 0.1017 0.4882 0.7500
```

---

No. 5
This entry pairs a crystal structure of La2ScTe5 with its theoretical X-ray diffraction stick pattern. Radiation: λ = 1.5418 Å (Cu Kα). Structure: a crystal structure in Alexandria, relaxed with GGA-PBE.

Main lines, low angle first (2θ from 10° to 90°):
- 2θ 24.36, d = 3.654 Å, rel. 10, (1 1 1)
- 2θ 26.90, d = 3.314 Å, rel. 11, (2 1 0)
- 2θ 29.81, d = 2.997 Å, rel. 100, (2 0 1)
- 2θ 34.23, d = 2.620 Å, rel. 41, (2 2 0)
- 2θ 35.21, d = 2.549 Å, rel. 21, (0 0 2)
- 2θ 49.18, d = 1.853 Å, rel. 13, (4 0 0)
- 2θ 49.92, d = 1.827 Å, rel. 28, (2 2 2)
- 2θ 58.58, d = 1.576 Å, rel. 24, (4 2 1)
- 2θ 59.88, d = 1.545 Å, rel. 14, (2 0 3)
- 2θ 61.92, d = 1.499 Å, rel. 13, (4 0 2)

```
data_La2ScTe5
_cell_length_a 7.4101
_cell_length_b 7.4101
_cell_length_c 5.0981
_cell_angle_alpha 90.00
_cell_angle_beta 90.00
_cell_angle_gamma 90.00
_space_group_name_H-M_alt 'P 4/m m m'
_space_group_IT_number 123
_space_group_name_Hall '-P 4 2'
loop_
_atom_site_label
_atom_site_type_symbol
_atom_site_fract_x
_atom_site_fract_y
_atom_site_fract_z
La1 La 0.0000 0.5000 0.0000
Sc1 Sc 0.0000 0.0000 0.5000
Te1 Te 0.0000 0.0000 0.0000
Te2 Te 0.2737 0.2737 0.5000
```

---

No. 6
This entry pairs a crystal structure of LiYEr4S8 with its theoretical X-ray diffraction stick pattern. Radiation: λ = 1.5418 Å (Cu Kα). Structure: a crystal structure in Alexandria, relaxed with GGA-PBE.

Main lines, low angle first (2θ from 10° to 90°):
- 2θ 13.62, d = 6.502 Å, rel. 42, (0 0 3)
- 2θ 15.76, d = 5.625 Å, rel. 19, (0 1 2)
- 2θ 22.33, d = 3.982 Å, rel. 15, (1 0 4)
- 2θ 26.28, d = 3.391 Å, rel. 100, (0 2 1)
- 2θ 27.49, d = 3.244 Å, rel. 15, (2 0 2)
- 2θ 31.82, d = 2.812 Å, rel. 39, (0 2 4)
- 2θ 41.65, d = 2.168 Å, rel. 18, (0 2 7)
- 2θ 41.74, d = 2.164 Å, rel. 29, (0 3 3)
- 2θ 45.54, d = 1.992 Å, rel. 31, (2 0 8)
- 2θ 45.69, d = 1.986 Å, rel. 31, (2 2 0)

```
data_LiYEr4S8
_cell_length_a 7.9425
_cell_length_b 7.9425
_cell_length_c 19.5452
_cell_angle_alpha 90.00
_cell_angle_beta 90.00
_cell_angle_gamma 120.00
_space_group_name_H-M_alt 'R 3 m'
_space_group_IT_number 160
_space_group_name_Hall 'R 3 -2"'
loop_
_atom_site_label
_atom_site_type_symbol
_atom_site_fract_x
_atom_site_fract_y
_atom_site_fract_z
Li1 Li 0.0000 0.0000 0.0000
Y1 Y 0.0000 0.0000 0.6297
Er1 Er 0.0000 0.0000 0.2506
Er2 Er 0.1729 0.3459 0.4569
S1 S 0.0000 0.0000 0.3837
S2 S 0.0000 0.0000 0.8683
S3 S 0.0162 0.5081 0.3782
S4 S 0.1771 0.3543 0.2049
```

---

No. 7
This entry pairs a crystal structure of MnAg2Se3 with its theoretical X-ray diffraction stick pattern. Radiation: λ = 1.5418 Å (Cu Kα). Structure: a crystal structure in Alexandria, relaxed with GGA-PBE.

Main lines, low angle first (2θ from 10° to 90°):
- 2θ 20.25, d = 4.386 Å, rel. 96, (1 1 1)
- 2θ 25.28, d = 3.524 Å, rel. 66, (0 0 2)
- 2θ 26.33, d = 3.385 Å, rel. 40, (0 2 0)
- 2θ 31.05, d = 2.880 Å, rel. 75, (2 0 2)
- 2θ 32.59, d = 2.747 Å, rel. 91, (2 2 -1)
- 2θ 33.84, d = 2.649 Å, rel. 100, (2 2 1)
- 2θ 38.28, d = 2.351 Å, rel. 86, (4 0 -2)
- 2θ 40.69, d = 2.217 Å, rel. 49, (1 1 -3)
- 2θ 42.50, d = 2.127 Å, rel. 66, (4 0 2)
- 2θ 46.67, d = 1.946 Å, rel. 43, (3 3 0)

```
data_MnAg2Se3
_cell_length_a 11.5896
_cell_length_b 6.7704
_cell_length_c 7.0840
_cell_angle_alpha 90.00
_cell_angle_beta 95.85
_cell_angle_gamma 90.00
_space_group_name_H-M_alt 'C 1 2/c 1'
_space_group_IT_number 15
loop_
_space_group_symop_operation_xyz
'x,y,z'
'-x,-y,-z'
'-x,y,-z+1/2'
'x,-y,z+1/2'
'x+1/2,y+1/2,z'
'-x+1/2,-y+1/2,-z'
'-x+1/2,y+1/2,-z+1/2'
'x+1/2,-y+1/2,z+1/2'
loop_
_atom_site_label
_atom_site_type_symbol
_atom_site_fract_x
_atom_site_fract_y
_atom_site_fract_z
Mn1 Mn 0.0000 0.0734 0.2500
Ag1 Ag 0.1475 0.3602 0.9868
Se1 Se 0.0000 0.4367 0.2500
Se2 Se 0.1428 0.0387 0.5324
```

---

No. 8
This entry pairs a crystal structure of SmScGa2 with its theoretical X-ray diffraction stick pattern. Radiation: λ = 1.5418 Å (Cu Kα). Structure: a crystal structure in Alexandria, relaxed with GGA-PBE.

Main lines, low angle first (2θ from 10° to 90°):
- 2θ 21.93, d = 4.054 Å, rel. 22, (1 1 1)
- 2θ 36.19, d = 2.482 Å, rel. 100, (2 2 0)
- 2θ 42.71, d = 2.117 Å, rel. 12, (3 1 1)
- 2θ 52.11, d = 1.755 Å, rel. 17, (4 0 0)
- 2θ 57.19, d = 1.611 Å, rel. 5, (3 3 1)
- 2θ 65.08, d = 1.433 Å, rel. 35, (4 2 2)
- 2θ 69.58, d = 1.351 Å, rel. 4, (5 1 1)
- 2θ 76.80, d = 1.241 Å, rel. 11, (4 4 0)
- 2θ 81.02, d = 1.187 Å, rel. 4, (5 3 1)
- 2θ 87.97, d = 1.110 Å, rel. 15, (6 2 0)

```
data_SmScGa2
_cell_length_a 7.0209
_cell_length_b 7.0209
_cell_length_c 7.0209
_cell_angle_alpha 90.00
_cell_angle_beta 90.00
_cell_angle_gamma 90.00
_space_group_name_H-M_alt 'F m -3 m'
_space_group_IT_number 225
_space_group_name_Hall '-F 4 2 3'
loop_
_atom_site_label
_atom_site_type_symbol
_atom_site_fract_x
_atom_site_fract_y
_atom_site_fract_z
Sm1 Sm 0.0000 0.0000 0.0000
Sc1 Sc 0.0000 0.0000 0.5000
Ga1 Ga 0.2500 0.2500 0.2500
```

---

No. 9
This entry pairs a crystal structure of Dy2YTh2 with its theoretical X-ray diffraction stick pattern. Radiation: λ = 1.5418 Å (Cu Kα). Structure: a crystal structure in Alexandria, relaxed with GGA-PBE.

Main lines, low angle first (2θ from 10° to 90°):
- 2θ 12.23, d = 7.235 Å, rel. 8, (2 0 0)
- 2θ 30.68, d = 2.914 Å, rel. 100, (1 0 2)
- 2θ 30.90, d = 2.894 Å, rel. 33, (5 0 0)
- 2θ 35.57, d = 2.524 Å, rel. 23, (4 0 -2)
- 2θ 35.68, d = 2.517 Å, rel. 45, (3 2 1)
- 2θ 51.09, d = 1.788 Å, rel. 16, (1 2 -3)
- 2θ 51.43, d = 1.777 Å, rel. 24, (6 0 2)
- 2θ 60.91, d = 1.521 Å, rel. 29, (1 4 2)
- 2θ 61.09, d = 1.517 Å, rel. 14, (5 4 0)
- 2θ 61.25, d = 1.513 Å, rel. 9, (8 2 1)

```
data_Dy2YTh2
_cell_length_a 14.6191
_cell_length_b 7.1287
_cell_length_c 6.1988
_cell_angle_alpha 90.00
_cell_angle_beta 98.19
_cell_angle_gamma 90.00
_space_group_name_H-M_alt 'P 1 21/c 1'
_space_group_IT_number 14
loop_
_space_group_symop_operation_xyz
'x,y,z'
'-x,-y,-z'
'-x,y+1/2,-z+1/2'
'x,-y+1/2,z+1/2'
loop_
_atom_site_label
_atom_site_type_symbol
_atom_site_fract_x
_atom_site_fract_y
_atom_site_fract_z
Dy1 Dy 0.0980 0.1241 0.4495
Dy2 Dy 0.3041 0.1229 0.8526
Y1 Y 0.3019 0.6266 0.8503
Th1 Th 0.0978 0.6288 0.4505
Th2 Th 0.4995 0.1243 0.2518
```

---

No. 10
This entry pairs a crystal structure of PuB6Ir12 with its theoretical X-ray diffraction stick pattern. Radiation: λ = 1.5418 Å (Cu Kα). Structure: a crystal structure in Alexandria, relaxed with GGA-PBE.

Main lines, low angle first (2θ from 10° to 90°):
- 2θ 29.71, d = 3.007 Å, rel. 31, (2 0 2)
- 2θ 29.96, d = 2.983 Å, rel. 31, (3 0 0)
- 2θ 37.50, d = 2.398 Å, rel. 62, (1 1 3)
- 2θ 37.91, d = 2.374 Å, rel. 100, (1 3 1)
- 2θ 42.69, d = 2.118 Å, rel. 21, (3 1 2)
- 2θ 45.23, d = 2.005 Å, rel. 47, (3 0 3)
- 2θ 53.18, d = 1.722 Å, rel. 23, (3 3 0)
- 2θ 56.16, d = 1.638 Å, rel. 23, (5 0 2)
- 2θ 75.25, d = 1.263 Å, rel. 17, (7 0 1)
- 2θ 82.79, d = 1.166 Å, rel. 16, (4 4 3)

```
data_PuB6Ir12
_cell_length_a 10.3331
_cell_length_b 10.3331
_cell_length_c 8.1237
_cell_angle_alpha 90.00
_cell_angle_beta 90.00
_cell_angle_gamma 120.00
_space_group_name_H-M_alt 'R -3 m'
_space_group_IT_number 166
_space_group_name_Hall '-R 3 2"'
loop_
_atom_site_label
_atom_site_type_symbol
_atom_site_fract_x
_atom_site_fract_y
_atom_site_fract_z
Pu1 Pu 0.0000 0.0000 0.0000
B1 B 0.0425 0.5213 0.2923
Ir1 Ir 0.0000 0.3643 0.5000
Ir2 Ir 0.0865 0.1729 0.3574
```

---

No. 11
This entry pairs a crystal structure of In4P6Pb2O23 with its theoretical X-ray diffraction stick pattern. Radiation: λ = 1.5418 Å (Cu Kα). Structure: a crystal structure in Alexandria, relaxed with GGA-PBE.

Main lines, low angle first (2θ from 10° to 90°):
- 2θ 19.64, d = 4.521 Å, rel. 13, (1 1 -1)
- 2θ 20.68, d = 4.295 Å, rel. 14, (1 1 0)
- 2θ 21.29, d = 4.174 Å, rel. 16, (1 0 -2)
- 2θ 22.86, d = 3.890 Å, rel. 17, (1 -2 0)
- 2θ 25.88, d = 3.442 Å, rel. 100, (0 2 -2)
- 2θ 26.08, d = 3.416 Å, rel. 14, (1 -1 2)
- 2θ 27.57, d = 3.235 Å, rel. 19, (2 0 -1)
- 2θ 33.03, d = 2.712 Å, rel. 16, (2 -2 1)
- 2θ 34.26, d = 2.618 Å, rel. 12, (0 3 0)
- 2θ 39.46, d = 2.283 Å, rel. 18, (0 1 -4)

```
data_In4P6Pb2O23
_cell_length_a 6.6862
_cell_length_b 8.4266
_cell_length_c 9.3490
_cell_angle_alpha 102.34
_cell_angle_beta 102.21
_cell_angle_gamma 103.96
_space_group_name_H-M_alt 'P 1'
_space_group_IT_number 1
loop_
_space_group_symop_operation_xyz
'x,y,z'
loop_
_atom_site_label
_atom_site_type_symbol
_atom_site_fract_x
_atom_site_fract_y
_atom_site_fract_z
In1 In 0.0000 0.0000 0.0000
In2 In 0.0284 0.4399 0.8622
In3 In 0.2451 0.0362 0.5056
In4 In 0.7929 0.3983 0.3600
P1 P 0.0176 0.7353 0.6742
P2 P 0.0192 0.7023 0.1900
P3 P 0.2372 0.3188 0.2843
P4 P 0.4991 0.3618 0.8476
P5 P 0.5444 0.0826 0.0210
P6 P 0.7999 0.1182 0.5847
Pb1 Pb 0.5066 0.7436 0.6676
Pb2 Pb 0.5290 0.6890 0.1965
O1 O 0.1038 0.2590 0.1117
O2 O 0.1291 0.4217 0.3837
O3 O 0.1287 0.6171 0.7449
O4 O 0.1325 0.6128 0.0820
O5 O 0.1993 0.7987 0.3377
O6 O 0.2081 0.8675 0.6532
O7 O 0.2677 0.1606 0.3323
O8 O 0.3141 0.9835 0.0020
O9 O 0.3519 0.2638 0.6900
O10 O 0.3826 0.4706 0.9364
O11 O 0.4642 0.4405 0.2975
O12 O 0.5536 0.2347 0.9437
O13 O 0.5727 0.9949 0.5677
O14 O 0.6505 0.9638 0.9320
O15 O 0.6799 0.1602 0.1858
O16 O 0.7154 0.4750 0.8482
O17 O 0.7732 0.2782 0.5378
O18 O 0.8296 0.5679 0.2102
O19 O 0.8382 0.6367 0.5265
O20 O 0.9030 0.8257 0.7803
O21 O 0.9102 0.8225 0.1214
O22 O 0.9117 0.0170 0.4880
O23 O 0.9262 0.1791 0.7597
```